Co2GePdW: computed powder diffractogram (a wavelength of 1.5418 Å), based on the PBE geometry in Alexandria.
No peak broadening, texture or thermal motion is included.

Most intense lines, 2θ = 5–70°, in order of falling intensity:
2theta	I_rel	hkl
20.0	100	1 0 0
40.7	85	2 0 0
55.9	66	2 0 2
36.6	57	0 0 2
28.5	53	1 1 0
27.1	45	1 0 1
42.1	30	1 0 2
59.0	28	2 2 0

Crystal structure
```
data_Co2GePdW
_symmetry_space_group_name_H-M 'P 4/m m m'
_symmetry_Int_Tables_number 123
_symmetry_space_group_name_Hall '-P 4 2'
_cell_length_a 4.429
_cell_length_b 4.429
_cell_length_c 4.912
_cell_angle_alpha 90.00
_cell_angle_beta 90.00
_cell_angle_gamma 90.00
loop_
_atom_site_label
_atom_site_fract_x
_atom_site_fract_y
_atom_site_fract_z
Co1 0.000 0.500 0.000
Ge1 0.000 0.000 0.500
Pd1 0.500 0.500 0.500
W1 0.500 0.500 0.000
```

***

YCoGe2Pd: computed powder diffractogram (a wavelength of 1.5418 Å), based on the PBE geometry in Alexandria.
No peak broadening, texture or thermal motion is included.

Most intense lines, 2θ = 5–70°, in order of falling intensity:
2theta	I_rel	hkl
35.4	100	1 1 2
43.9	65	2 0 0
34.1	60	1 0 3
47.3	33	1 1 4
56.8	27	2 1 3
49.7	24	1 0 5
63.9	20	2 2 0
68.5	18	2 1 5

Crystal structure
```
data_YCoGe2Pd
_symmetry_space_group_name_H-M 'I -4 m 2'
_symmetry_Int_Tables_number 119
_symmetry_space_group_name_Hall 'I -4 -2'
_cell_length_a 4.121
_cell_length_b 4.121
_cell_length_c 10.233
_cell_angle_alpha 90.00
_cell_angle_beta 90.00
_cell_angle_gamma 90.00
loop_
_atom_site_label
_atom_site_fract_x
_atom_site_fract_y
_atom_site_fract_z
Y1 0.000 0.000 0.000
Co1 0.000 0.500 0.250
Ge1 0.000 0.000 0.378
Pd1 0.000 0.500 0.750
```

***

Pm2CoGe5: computed powder diffractogram (a wavelength of 1.5418 Å), based on the PBE geometry in Alexandria.
No peak broadening, texture or thermal motion is included.

Most intense lines, 2θ = 5–70°, in order of falling intensity:
2theta	I_rel	hkl
35.6	100	2 0 2
42.1	45	2 2 0
28.7	45	1 1 2
59.5	27	2 2 4
40.1	24	0 0 4
51.7	14	3 1 2
61.0	13	4 0 0
69.9	13	2 0 6

Crystal structure
```
data_Pm2CoGe5
_symmetry_space_group_name_H-M 'I 4 m m'
_symmetry_Int_Tables_number 107
_symmetry_space_group_name_Hall 'I 4 -2'
_cell_length_a 6.077
_cell_length_b 6.077
_cell_length_c 9.002
_cell_angle_alpha 90.00
_cell_angle_beta 90.00
_cell_angle_gamma 90.00
loop_
_atom_site_label
_atom_site_fract_x
_atom_site_fract_y
_atom_site_fract_z
Pm1 0.000 0.500 0.000
Co1 0.000 0.000 0.213
Ge1 0.000 0.000 0.955
Ge2 0.223 0.223 0.740
```

***

Pm4CoGe8: computed powder diffractogram (a wavelength of 1.5418 Å), based on the PBE geometry in Alexandria.
No peak broadening, texture or thermal motion is included.

Most intense lines, 2θ = 5–70°, in order of falling intensity:
2theta	I_rel	hkl
34.8	100	1 1 3
34.6	20	0 1 5
43.3	19	0 2 0
39.5	18	1 0 6
44.5	18	2 0 0
32.5	16	0 0 6
24.4	14	1 0 2
63.8	12	2 2 0

Crystal structure
```
data_Pm4CoGe8
_symmetry_space_group_name_H-M 'P m m 2'
_symmetry_Int_Tables_number 25
_symmetry_space_group_name_Hall 'P 2 -2'
_cell_length_a 4.069
_cell_length_b 4.182
_cell_length_c 16.550
_cell_angle_alpha 90.00
_cell_angle_beta 90.00
_cell_angle_gamma 90.00
loop_
_atom_site_label
_atom_site_fract_x
_atom_site_fract_y
_atom_site_fract_z
Pm1 0.000 0.000 0.000
Pm2 0.000 0.500 0.499
Pm3 0.500 0.000 0.210
Pm4 0.500 0.500 0.709
Co1 0.500 0.000 0.414
Ge1 0.000 0.000 0.348
Ge2 0.000 0.000 0.654
Ge3 0.000 0.500 0.154
Ge4 0.000 0.500 0.856
Ge5 0.500 0.000 0.556
Ge6 0.500 0.000 0.852
Ge7 0.500 0.500 0.054
Ge8 0.500 0.500 0.347
```

***

Pm3CoGe2: computed powder diffractogram (a wavelength of 1.5418 Å), based on the PBE geometry in Alexandria.
No peak broadening, texture or thermal motion is included.

Most intense lines, 2θ = 5–70°, in order of falling intensity:
2theta	I_rel	hkl
34.8	100	3 1 2
31.6	97	0 1 3
42.8	62	0 2 0
30.3	58	2 1 2
37.9	49	4 1 1
27.4	45	3 0 2
32.0	43	3 1 1
27.1	42	2 1 1

Crystal structure
```
data_Pm3CoGe2
_symmetry_space_group_name_H-M 'P n m a'
_symmetry_Int_Tables_number 62
_symmetry_space_group_name_Hall '-P 2ac 2n'
_cell_length_a 11.867
_cell_length_b 4.222
_cell_length_c 11.450
_cell_angle_alpha 90.00
_cell_angle_beta 90.00
_cell_angle_gamma 90.00
loop_
_atom_site_label
_atom_site_fract_x
_atom_site_fract_y
_atom_site_fract_z
Pm1 0.055 0.250 0.129
Pm2 0.119 0.750 0.555
Pm3 0.223 0.250 0.799
Co1 0.132 0.250 0.367
Ge1 0.021 0.750 0.316
Ge2 0.195 0.750 0.995
```

***

Pm2Co3Ge4: computed powder diffractogram (a wavelength of 1.5418 Å), based on the PBE geometry in Alexandria.
No peak broadening, texture or thermal motion is included.

Most intense lines, 2θ = 5–70°, in order of falling intensity:
2theta	I_rel	hkl
36.6	100	1 5 1
40.7	44	2 0 2
39.0	31	0 2 3
34.6	30	1 3 2
60.1	22	3 5 1
38.7	18	0 6 1
63.2	17	2 6 3
40.5	14	2 4 0

Crystal structure
```
data_Pm2Co3Ge4
_symmetry_space_group_name_H-M 'C m c e'
_symmetry_Int_Tables_number 64
_symmetry_space_group_name_Hall '-C 2ac 2'
_cell_length_a 5.585
_cell_length_b 14.748
_cell_length_c 7.302
_cell_angle_alpha 90.00
_cell_angle_beta 90.00
_cell_angle_gamma 90.00
loop_
_atom_site_label
_atom_site_fract_x
_atom_site_fract_y
_atom_site_fract_z
Pm1 0.000 0.111 0.096
Co1 0.000 0.000 0.500
Co2 0.250 0.225 0.750
Ge1 0.000 0.187 0.479
Ge2 0.250 0.060 0.750
```

***

Pm3Co6Ge5: computed powder diffractogram (a wavelength of 1.5418 Å), based on the PBE geometry in Alexandria.
No peak broadening, texture or thermal motion is included.

Most intense lines, 2θ = 5–70°, in order of falling intensity:
2theta	I_rel	hkl
36.8	100	1 3 2
35.7	42	1 0 3
35.5	34	0 3 3
45.8	28	2 0 0
66.3	27	2 6 0
31.7	20	1 3 0
45.2	19	0 6 0
59.3	15	2 3 3

Crystal structure
```
data_Pm3Co6Ge5
_symmetry_space_group_name_H-M 'P m m n'
_symmetry_Int_Tables_number 59
_cell_length_a 3.965
_cell_length_b 12.025
_cell_length_c 9.761
_cell_angle_alpha 90.00
_cell_angle_beta 90.00
_cell_angle_gamma 90.00
loop_
_symmetry_equiv_pos_as_xyz
'x,y,z'
'-x,-y,-z'
'-x+1/2,-y+1/2,z'
'x+1/2,y+1/2,-z'
'x+1/2,-y,-z'
'-x+1/2,y,z'
'-x,y+1/2,-z'
'x,-y+1/2,z'
loop_
_atom_site_label
_atom_site_fract_x
_atom_site_fract_y
_atom_site_fract_z
Pm1 0.250 0.089 0.243
Pm2 0.250 0.750 0.252
Co1 0.250 0.055 0.901
Co2 0.250 0.250 0.517
Co3 0.250 0.250 0.992
Co4 0.250 0.579 0.491
Ge1 0.250 0.077 0.645
Ge2 0.250 0.627 0.991
Ge3 0.250 0.750 0.609
```

***

Pm12Co6Ge: computed powder diffractogram (a wavelength of 1.5418 Å), based on the PBE geometry in Alexandria.
No peak broadening, texture or thermal motion is included.

Most intense lines, 2θ = 5–70°, in order of falling intensity:
2theta	I_rel	hkl
34.0	100	3 1 2
31.4	51	2 2 2
28.6	44	3 0 1
54.2	39	5 3 0
57.6	36	5 2 3
46.9	23	5 0 1
67.0	19	5 3 4
36.4	19	4 0 0

Crystal structure
```
data_Pm12Co6Ge
_symmetry_space_group_name_H-M 'I m -3'
_symmetry_Int_Tables_number 204
_symmetry_space_group_name_Hall '-I 2 2 3'
_cell_length_a 9.871
_cell_length_b 9.871
_cell_length_c 9.871
_cell_angle_alpha 90.00
_cell_angle_beta 90.00
_cell_angle_gamma 90.00
loop_
_atom_site_label
_atom_site_fract_x
_atom_site_fract_y
_atom_site_fract_z
Pm1 0.000 0.303 0.192
Co1 0.000 0.112 0.500
Ge1 0.000 0.000 0.000
```

***

PrCo6Ge12: computed powder diffractogram (a wavelength of 1.5418 Å), based on the PBE geometry in Alexandria.
No peak broadening, texture or thermal motion is included.

Most intense lines, 2θ = 5–70°, in order of falling intensity:
2theta	I_rel	hkl
35.3	100	1 3 1
36.2	67	1 1 3
52.3	45	5 0 2
47.6	37	0 2 4
43.1	36	0 3 3
42.3	34	3 2 1
46.5	30	2 3 2
66.1	29	3 1 5

Crystal structure
```
data_PrCo6Ge12
_symmetry_space_group_name_H-M 'R -3 m'
_symmetry_Int_Tables_number 166
_symmetry_space_group_name_Hall '-R 3 2"'
_cell_length_a 11.1171
_cell_length_b 11.1171
_cell_length_c 8.3305
_cell_angle_alpha 90.00
_cell_angle_beta 90.00
_cell_angle_gamma 120.00
loop_
_atom_site_label
_atom_site_fract_x
_atom_site_fract_y
_atom_site_fract_z
Pr1 0.0000 0.0000 0.0000
Co1 0.0499 0.5250 0.2410
Ge1 0.0000 0.3833 0.5000
Ge2 0.0859 0.1719 0.3190
```

***

Pr2CoGe5: computed powder diffractogram (a wavelength of 1.5418 Å), based on the PBE geometry in Alexandria.
No peak broadening, texture or thermal motion is included.

Most intense lines, 2θ = 5–70°, in order of falling intensity:
2theta	I_rel	hkl
35.3	100	2 0 2
41.9	44	2 2 0
28.4	43	1 1 2
58.7	26	2 2 4
39.2	24	0 0 4
68.5	18	2 0 6
60.8	14	4 0 0
17.5	14	1 0 1

Crystal structure
```
data_Pr2CoGe5
_symmetry_space_group_name_H-M 'I 4 m m'
_symmetry_Int_Tables_number 107
_symmetry_space_group_name_Hall 'I 4 -2'
_cell_length_a 6.095
_cell_length_b 6.095
_cell_length_c 9.204
_cell_angle_alpha 90.00
_cell_angle_beta 90.00
_cell_angle_gamma 90.00
loop_
_atom_site_label
_atom_site_fract_x
_atom_site_fract_y
_atom_site_fract_z
Pr1 0.000 0.500 0.000
Co1 0.000 0.000 0.204
Ge1 0.000 0.000 0.951
Ge2 0.224 0.224 0.741
```

***

Pr2CoGe3: computed powder diffractogram (a wavelength of 1.5418 Å), based on the PBE geometry in Alexandria.
No peak broadening, texture or thermal motion is included.

Most intense lines, 2θ = 5–70°, in order of falling intensity:
2theta	I_rel	hkl
32.4	100	0 2 4
43.1	26	2 0 6
62.1	17	2 4 6
54.8	14	4 2 4
42.4	14	0 4 0
43.0	13	4 0 0
24.5	11	2 0 2
61.9	9	4 4 0

Crystal structure
```
data_Pr2CoGe3
_symmetry_space_group_name_H-M 'F m m m'
_symmetry_Int_Tables_number 69
_symmetry_space_group_name_Hall '-F 2 2'
_cell_length_a 8.416
_cell_length_b 8.533
_cell_length_c 14.511
_cell_angle_alpha 90.00
_cell_angle_beta 90.00
_cell_angle_gamma 90.00
loop_
_atom_site_label
_atom_site_fract_x
_atom_site_fract_y
_atom_site_fract_z
Pr1 0.000 0.249 0.000
Pr2 0.250 0.250 0.250
Co1 0.000 0.000 0.334
Ge1 0.000 0.000 0.174
Ge2 0.238 0.000 0.413
```

***

CoGe4Pt2: computed powder diffractogram (a wavelength of 1.5418 Å), based on the PBE geometry in Alexandria.
No peak broadening, texture or thermal motion is included.

Most intense lines, 2θ = 5–70°, in order of falling intensity:
2theta	I_rel	hkl
33.9	100	1 1 1
16.4	56	2 0 0
46.1	53	5 1 -1
34.1	45	4 0 -2
51.5	35	3 1 -3
30.0	32	1 1 -1
44.5	26	3 1 1
42.6	25	2 0 2

Crystal structure
```
data_CoGe4Pt2
_symmetry_space_group_name_H-M 'C 1 2/m 1'
_symmetry_Int_Tables_number 12
_symmetry_space_group_name_Hall '-C 2y'
_cell_length_a 12.133
_cell_length_b 3.383
_cell_length_c 6.267
_cell_angle_alpha 90.00
_cell_angle_beta 116.94
_cell_angle_gamma 90.00
loop_
_atom_site_label
_atom_site_fract_x
_atom_site_fract_y
_atom_site_fract_z
Co1 0.000 0.000 0.000
Ge1 0.082 0.000 0.429
Ge2 0.132 0.500 0.959
Pt1 0.242 0.500 0.697
```

***

CoReGe: computed powder diffractogram (a wavelength of 1.5418 Å), based on the PBE geometry in Alexandria.
No peak broadening, texture or thermal motion is included.

Most intense lines, 2θ = 5–70°, in order of falling intensity:
2theta	I_rel	hkl
8.2	100	0 0 2
43.8	62	1 0 7
38.5	52	1 0 5
46.1	37	1 1 0
67.2	12	2 0 0
32.4	11	1 0 1
50.9	9	0 0 12
46.9	7	1 1 2

Crystal structure
```
data_CoReGe
_symmetry_space_group_name_H-M 'I 4/m m m'
_symmetry_Int_Tables_number 139
_symmetry_space_group_name_Hall '-I 4 2'
_cell_length_a 2.787
_cell_length_b 2.787
_cell_length_c 21.520
_cell_angle_alpha 90.00
_cell_angle_beta 90.00
_cell_angle_gamma 90.00
loop_
_atom_site_label
_atom_site_fract_x
_atom_site_fract_y
_atom_site_fract_z
Co1 0.000 0.000 0.123
Re1 0.000 0.000 0.294
Ge1 0.000 0.000 0.442
```